Entry 1:
Diffraction record for InSI. The X-ray diffraction stick pattern is simulated, not measured: it uses a GGA-PBE-relaxed structure and λ = 1.5418 Å (Cu Kα).

Structural model:
Cell: 4.067 6.338 9.515 Å, 90.00 90.28 90.00°
Atoms (fractional coordinates):
In 0.249 0.000 0.414
In 0.751 0.500 0.586
S 0.249 0.596 0.438
S 0.751 0.096 0.562
I 0.245 0.095 0.141
I 0.755 0.595 0.859

The 10 most intense peaks (2θ = 10–80°), sorted by position:
| d (Å) | 2theta | I/Imax |
| --- | --- | --- |
| 5.275 | 16.81 | 100.0 |
| 3.805 | 23.38 | 17.7 |
| 3.740 | 23.79 | 67.6 |
| 3.423 | 26.03 | 73.6 |
| 3.169 | 28.16 | 51.1 |
| 2.836 | 31.54 | 22.6 |
| 2.495 | 35.99 | 17.4 |
| 2.418 | 37.19 | 29.4 |
| 1.959 | 46.35 | 22.6 |
| 1.839 | 49.56 | 16.6 |

Entry 2:
Diffraction record for In4SbI6. The X-ray diffraction stick pattern is simulated, not measured: it uses a GGA-PBE-relaxed structure and λ = 1.5418 Å (Cu Kα).

Structural model:
Cell: 9.379 9.379 9.853 Å, 90.00 90.00 90.00°
Atoms (fractional coordinates):
In 0.154 0.346 0.250
In 0.154 0.346 0.750
In 0.346 0.846 0.250
In 0.346 0.846 0.750
In 0.654 0.154 0.250
In 0.654 0.154 0.750
In 0.846 0.654 0.250
In 0.846 0.654 0.750
Sb 0.000 0.000 0.000
Sb 0.500 0.500 0.500
I 0.000 0.000 0.304
I 0.000 0.000 0.696
I 0.142 0.678 0.000
I 0.178 0.642 0.500
I 0.322 0.142 0.000
I 0.358 0.178 0.500
I 0.500 0.500 0.196
I 0.500 0.500 0.804
I 0.642 0.822 0.500
I 0.678 0.858 0.000
I 0.822 0.358 0.500
I 0.858 0.322 0.000

The 10 most intense peaks (2θ = 10–80°), sorted by position:
| d (Å) | 2theta | I/Imax |
| --- | --- | --- |
| 3.316 | 26.89 | 12.7 |
| 3.194 | 27.94 | 100.0 |
| 3.100 | 28.80 | 12.6 |
| 2.966 | 30.13 | 59.1 |
| 2.463 | 36.48 | 14.9 |
| 2.097 | 43.14 | 12.0 |
| 2.065 | 43.84 | 15.8 |
| 1.895 | 48.01 | 19.2 |
| 1.642 | 56.00 | 16.2 |
| 1.529 | 60.55 | 10.8 |

Entry 3:
Diffraction record for InSbI3. The X-ray diffraction stick pattern is simulated, not measured: it uses a GGA-PBE-relaxed structure and λ = 1.5418 Å (Cu Kα).

Structural model:
Cell: 4.328 11.044 11.361 Å, 77.87 79.45 89.94°
Atoms (fractional coordinates):
In 0.137 0.013 0.191
In 0.863 0.987 0.809
Sb 0.279 0.570 0.940
Sb 0.721 0.430 0.060
I 0.107 0.227 0.288
I 0.229 0.831 0.034
I 0.433 0.118 0.653
I 0.567 0.882 0.347
I 0.771 0.169 0.966
I 0.893 0.773 0.712

The 10 most intense peaks (2θ = 10–80°), sorted by position:
| d (Å) | 2theta | I/Imax |
| --- | --- | --- |
| 8.651 | 10.23 | 34.9 |
| 3.636 | 24.48 | 30.8 |
| 3.416 | 26.09 | 100.0 |
| 3.391 | 26.28 | 96.2 |
| 3.349 | 26.62 | 47.1 |
| 2.884 | 31.01 | 47.0 |
| 2.756 | 32.49 | 31.1 |
| 2.321 | 38.81 | 53.6 |
| 2.306 | 39.05 | 29.5 |
| 2.164 | 41.75 | 39.7 |

Entry 4:
Diffraction record for VInSb2I. The X-ray diffraction stick pattern is simulated, not measured: it uses a GGA-PBE-relaxed structure and λ = 1.5418 Å (Cu Kα).

Structural model:
Cell: 5.105 5.105 6.121 Å, 90.00 90.00 90.00°
Atoms (fractional coordinates):
V 0.000 0.000 0.000
In 0.500 0.500 0.500
Sb 0.000 0.500 0.000
Sb 0.500 0.000 0.000
I 0.000 0.000 0.500

The 10 most intense peaks (2θ = 10–80°), sorted by position:
| d (Å) | 2theta | I/Imax |
| --- | --- | --- |
| 3.109 | 28.71 | 100.0 |
| 3.060 | 29.18 | 36.6 |
| 2.552 | 35.16 | 44.4 |
| 1.960 | 46.32 | 40.1 |
| 1.805 | 50.58 | 15.4 |
| 1.776 | 51.45 | 19.5 |
| 1.561 | 59.20 | 25.5 |
| 1.555 | 59.46 | 18.6 |
| 1.312 | 71.95 | 10.5 |
| 1.266 | 75.03 | 12.7 |

Entry 5:
Diffraction record for In2Se2I. The X-ray diffraction stick pattern is simulated, not measured: it uses a GGA-PBE-relaxed structure and λ = 1.5418 Å (Cu Kα).

Structural model:
Cell: 8.200 8.200 8.200 Å, 114.28 114.28 100.24°
Atoms (fractional coordinates):
In 0.303 0.000 0.303
In 0.697 0.000 0.697
In 0.750 0.553 0.803
In 0.750 0.947 0.197
Se 0.501 0.233 0.732
Se 0.501 0.769 0.268
Se 0.519 0.751 0.768
Se 0.983 0.751 0.232
I 0.114 0.114 0.000
I 0.864 0.364 0.500

The 10 most intense peaks (2θ = 10–80°), sorted by position:
| d (Å) | 2theta | I/Imax |
| --- | --- | --- |
| 6.793 | 13.03 | 100.0 |
| 4.450 | 19.95 | 24.0 |
| 4.035 | 22.03 | 34.6 |
| 3.722 | 23.91 | 60.0 |
| 3.261 | 27.34 | 59.2 |
| 2.481 | 36.20 | 22.0 |
| 2.403 | 37.43 | 67.6 |
| 2.225 | 40.55 | 29.0 |
| 2.018 | 44.93 | 59.9 |
| 1.587 | 58.13 | 21.5 |

Entry 6:
Diffraction record for In3SeI7. The X-ray diffraction stick pattern is simulated, not measured: it uses a GGA-PBE-relaxed structure and λ = 1.5418 Å (Cu Kα).

Structural model:
Cell: 8.396 8.396 10.350 Å, 127.38 127.38 59.97°
Atoms (fractional coordinates):
In 0.000 0.000 0.000
In 0.001 0.468 0.001
In 0.468 0.001 0.001
Se 0.257 0.257 0.202
I 0.199 0.199 0.755
I 0.199 0.701 0.752
I 0.262 0.768 0.219
I 0.701 0.199 0.752
I 0.703 0.703 0.759
I 0.767 0.767 0.218
I 0.768 0.262 0.219

The 10 most intense peaks (2θ = 10–80°), sorted by position:
| d (Å) | 2theta | I/Imax |
| --- | --- | --- |
| 7.382 | 11.99 | 32.3 |
| 3.691 | 24.11 | 10.4 |
| 3.261 | 27.35 | 100.0 |
| 2.590 | 34.63 | 48.4 |
| 2.099 | 43.10 | 31.4 |
| 2.039 | 44.43 | 20.1 |
| 2.036 | 44.51 | 9.3 |
| 1.824 | 49.99 | 8.9 |
| 1.765 | 51.80 | 16.4 |
| 1.351 | 69.60 | 13.3 |